# 1
Starting from the GGA+U geometry in the Materials Project, the XRD peak list of Li2FePCO7 was simulated for Cu Kα, 1.54184 Å.
Intensities are scaled so that the largest is 100.

Cell and atoms:
a = 5.0630 Å, b = 6.3431 Å, c = 8.5065 Å
α = 96.09°, β = 93.05°, γ = 94.25°
Sites, in units of the cell vectors:
Li 0.1429 0.0168 0.2160
Li 0.2504 0.5344 0.2297
Li 0.7496 0.4656 0.7703
Li 0.8571 0.9832 0.7840
Fe 0.3099 0.7518 0.6501
Fe 0.6901 0.2482 0.3499
P 0.2115 0.2425 0.5776
P 0.7885 0.7575 0.4224
C 0.2431 0.7483 0.9404
C 0.7569 0.2517 0.0596
O 0.0435 0.7144 0.8291
O 0.0815 0.7000 0.4474
O 0.2030 0.7511 0.0863
O 0.2144 0.0585 0.6826
O 0.3251 0.1738 0.4142
O 0.3835 0.4408 0.6577
O 0.4744 0.7804 0.8838
O 0.5256 0.2196 0.1162
O 0.6165 0.5592 0.3423
O 0.6749 0.8262 0.5858
O 0.7856 0.9415 0.3174
O 0.7970 0.2489 0.9137
O 0.9185 0.3000 0.5526
O 0.9565 0.2856 0.1709

Main lines, by angle (2θ = 5–70°):
| Position (°2θ) | I (rel.) | h k l |
| --- | --- | --- |
| 10.48 | 100 | 0 0 1 |
| 16.62 | 19 | 0 1 -1 |
| 18.50 | 15 | 0 1 1 |
| 19.96 | 23 | 1 0 -1 |
| 21.08 | 26 | 1 0 1 |
| 23.94 | 14 | 1 -1 1 |
| 26.70 | 26 | 1 0 -2 |
| 28.40 | 61 | 0 2 0 |
| 35.60 | 16 | 2 0 0 |
| 43.32 | 13 | 2 1 -2 |

***

# 2
Starting from the GGA+U geometry in the Materials Project, the XRD peak list of BaZnCrF7 was simulated for Cu Kα, 1.54184 Å.
Intensities are scaled so that the largest is 100.

Cell and atoms:
a = 5.6720 Å, b = 10.0658 Å, c = 9.7149 Å
α = 90.00°, β = 93.09°, γ = 90.00°
Sites, in units of the cell vectors:
Ba 0.2393 0.1798 0.0011
Ba 0.2393 0.3202 0.5011
Ba 0.7607 0.6798 0.4989
Ba 0.7607 0.8202 0.9989
Zn 0.1963 0.6009 0.8109
Zn 0.1963 0.8991 0.3109
Zn 0.8037 0.1009 0.6891
Zn 0.8037 0.3991 0.1891
Cr 0.3048 0.6128 0.1872
Cr 0.3048 0.8872 0.6872
Cr 0.6952 0.1128 0.3128
Cr 0.6952 0.3872 0.8128
F 0.0243 0.7064 0.2480
F 0.0243 0.7936 0.7480
F 0.1120 0.5428 0.6241
F 0.1120 0.9572 0.1241
F 0.1388 0.0492 0.6298
F 0.1388 0.4508 0.1298
F 0.2393 0.6918 0.0024
F 0.2393 0.8082 0.5024
F 0.3892 0.5423 0.3663
F 0.3892 0.9577 0.8663
F 0.3916 0.0562 0.3778
F 0.3916 0.4438 0.8778
F 0.4759 0.7242 0.7471
F 0.4759 0.7758 0.2471
F 0.5241 0.2242 0.7529
F 0.5241 0.2758 0.2529
F 0.6084 0.5562 0.1222
F 0.6084 0.9438 0.6222
F 0.6108 0.0423 0.1337
F 0.6108 0.4577 0.6337
F 0.7607 0.1918 0.4976
F 0.7607 0.3083 0.9976
F 0.8612 0.5492 0.8702
F 0.8612 0.9508 0.3702
F 0.8880 0.0428 0.8759
F 0.8880 0.4572 0.3759
F 0.9757 0.2064 0.2520
F 0.9757 0.2936 0.7520

Main lines, by angle (2θ = 5–70°):
| Position (°2θ) | I (rel.) | h k l |
| --- | --- | --- |
| 25.10 | 100 | 1 2 -1 |
| 26.36 | 54 | 1 1 2 |
| 29.00 | 25 | 0 1 3 |
| 30.98 | 16 | 1 3 0 |
| 31.59 | 22 | 2 0 0 |
| 40.21 | 21 | 2 2 -2 |
| 40.51 | 32 | 1 4 1 |
| 41.32 | 19 | 0 2 4 |
| 52.12 | 22 | 3 2 -1 |
| 53.94 | 18 | 1 2 5 |

***

# 3
Starting from the GGA+U geometry in the Materials Project, the XRD peak list of Zn4CoO5 was simulated for Cu Kα, 1.54184 Å.
Intensities are scaled so that the largest is 100.

Cell and atoms:
a = 3.2957 Å, b = 3.2957 Å, c = 26.4146 Å
α = 90.00°, β = 90.00°, γ = 120.00°
Sites, in units of the cell vectors:
Zn 0.0000 0.0000 0.0000
Zn 0.0000 0.0000 0.2001
Zn 0.0000 0.0000 0.4000
Zn 0.0000 0.0000 0.6001
Zn 0.0000 0.0000 0.8000
Zn 0.3333 0.6667 0.1001
Zn 0.3333 0.6667 0.3001
Zn 0.3333 0.6667 0.5000
Co 0.3333 0.6667 0.7000
Co 0.3333 0.6667 0.9001
O 0.0000 0.0000 0.1237
O 0.0000 0.0000 0.3239
O 0.0000 0.0000 0.5240
O 0.0000 0.0000 0.7239
O 0.0000 0.0000 0.9237
O 0.3333 0.6667 0.0237
O 0.3333 0.6667 0.2238
O 0.3333 0.6667 0.4239
O 0.3333 0.6667 0.6240
O 0.3333 0.6667 0.8239

Main lines, by angle (2θ = 5–70°):
| Position (°2θ) | I (rel.) | h k l |
| --- | --- | --- |
| 31.34 | 52 | 1 0 0 |
| 33.94 | 40 | 0 0 10 |
| 35.76 | 100 | 0 1 5 |
| 46.86 | 23 | 0 1 10 |
| 55.79 | 36 | 1 1 0 |
| 61.91 | 34 | 0 1 15 |
| 65.40 | 5 | 2 0 0 |
| 66.93 | 29 | 1 1 10 |
| 68.05 | 15 | 2 0 5 |

***

# 4
Starting from the GGA+U geometry in the Materials Project, the XRD peak list of Li9Mn2Co5O16 was simulated for Cu Kα, 1.54184 Å.
Intensities are scaled so that the largest is 100.

Cell and atoms:
a = 5.0856 Å, b = 5.8444 Å, c = 9.8885 Å
α = 98.86°, β = 95.05°, γ = 90.48°
Sites, in units of the cell vectors:
Li 0.0000 0.0000 0.0000
Li 0.0017 0.4875 0.9975
Li 0.2430 0.3671 0.4817
Li 0.2529 0.8669 0.4835
Li 0.4983 0.7425 0.9960
Li 0.5107 0.2427 0.9982
Li 0.7466 0.1198 0.4777
Li 0.7541 0.6114 0.4790
Li 0.8760 0.3054 0.2395
Mn 0.1258 0.6805 0.7396
Mn 0.3752 0.5530 0.2406
Co 0.1263 0.1798 0.7394
Co 0.3828 0.0612 0.2361
Co 0.6260 0.4288 0.7385
Co 0.6264 0.9317 0.7400
Co 0.8796 0.8057 0.2402
O 0.0605 0.0629 0.3487
O 0.0765 0.5916 0.3494
O 0.1964 0.7617 0.1246
O 0.2130 0.2862 0.1227
O 0.3023 0.9490 0.8535
O 0.3046 0.4705 0.8506
O 0.4233 0.6565 0.6282
O 0.4325 0.1546 0.6245
O 0.5389 0.3468 0.3563
O 0.5563 0.8254 0.3557
O 0.6800 0.0148 0.1265
O 0.6822 0.5442 0.1309
O 0.8194 0.2064 0.8556
O 0.8276 0.7041 0.8515
O 0.9475 0.8895 0.6272
O 0.9487 0.4106 0.6238

Main lines, by angle (2θ = 5–70°):
| Position (°2θ) | I (rel.) | h k l |
| --- | --- | --- |
| 18.23 | 100 | 0 0 2 |
| 35.82 | 27 | 1 -2 1 |
| 36.16 | 13 | 1 2 0 |
| 43.29 | 56 | 1 -2 3 |
| 43.77 | 27 | 1 2 2 |
| 47.48 | 13 | 1 2 -4 |
| 57.01 | 10 | 2 0 -5 |
| 62.58 | 8 | 1 2 -6 |
| 62.80 | 15 | 2 0 5 |
| 63.70 | 15 | 3 2 -1 |

***

# 5
Starting from the GGA+U geometry in the Materials Project, the XRD peak list of BaPrMgCo2O6 was simulated for Cu Kα, 1.54184 Å.
Intensities are scaled so that the largest is 100.

Cell and atoms:
a = 3.8706 Å, b = 3.8788 Å, c = 11.1358 Å
α = 90.00°, β = 90.00°, γ = 90.00°
Sites, in units of the cell vectors:
Ba 0.0000 0.0000 0.0000
Pr 0.0000 0.0000 0.3316
Mg 0.0000 0.0000 0.6924
Co 0.5000 0.5000 0.2002
Co 0.5000 0.5000 0.7871
O 0.0000 0.5000 0.1891
O 0.0000 0.5000 0.7374
O 0.5000 0.0000 0.1957
O 0.5000 0.0000 0.7146
O 0.5000 0.5000 0.3805
O 0.5000 0.5000 0.9541

Main lines, by angle (2θ = 5–70°):
| Position (°2θ) | I (rel.) | h k l |
| --- | --- | --- |
| 7.94 | 100 | 0 0 1 |
| 15.92 | 24 | 0 0 2 |
| 23.97 | 19 | 0 0 3 |
| 28.06 | 27 | 1 0 2 |
| 32.68 | 58 | 1 1 0 |
| 33.43 | 96 | 0 1 3 |
| 40.94 | 24 | 1 1 3 |
| 46.84 | 18 | 0 2 0 |
| 46.95 | 18 | 2 0 0 |
| 58.81 | 37 | 2 1 3 |